For CsMg6Sn, a cell relaxed with GGA-PBE gives the theoretical powder diffractogram in this record (Cu Ka).

Structure:
a b c (Å): 5.1635 7.8980 11.2810
angles (deg): 90.00 90.00 90.00
Space group Amm2 (No. 38)
Inequivalent atoms, fractional coordinates:
Cs (0.0000, 0.0000, 0.0000) x2
Mg (0.0000, 0.2035, 0.7217) x4
Mg (0.5000, 0.0000, 0.2477) x2
Mg (0.5000, 0.0000, 0.7661) x2
Mg (0.5000, 0.1953, 0.5141) x4
Sn (0.0000, 0.0000, 0.4123) x2

Peak list (12 most intense, 10° ≤ 2θ ≤ 80°, by angle)
hkl  2θ/deg  intensity
0 0 2  15.7  33
1 0 0  17.2  42
0 2 0  22.5  27
1 0 2  23.4  28
0 1 3  26.2  24
0 2 2  27.6  25
1 2 0  28.5  24
1 1 3  31.5  48
1 2 2  32.7  100
2 0 0  34.7  31
2 2 0  41.8  18
1 1 5  45.3  20

For CsSrMg14, a cell relaxed with GGA-PBE gives the theoretical powder diffractogram in this record (Cu Ka).

Structure:
a b c (Å): 6.9211 6.9211 10.6425
angles (deg): 90.00 90.00 120.00
Space group P-6m2 (No. 187)
Inequivalent atoms, fractional coordinates:
Cs (0.0000, 0.0000, 0.0000) x1
Sr (0.0000, 0.0000, 0.5000) x1
Mg (0.0064, 0.5032, 0.0000) x3
Mg (0.0093, 0.5047, 0.5000) x3
Mg (0.1819, 0.3637, 0.2562) x6
Mg (0.6667, 0.3333, 0.2496) x2

Peak list (12 most intense, 10° ≤ 2θ ≤ 80°, by angle)
hkl  2θ/deg  intensity
1 0 0  14.8  33
1 0 2  22.3  40
1 1 0  25.7  12
2 0 0  29.8  30
1 1 2  30.8  14
0 0 4  33.7  23
2 0 2  34.3  100
2 0 4  45.6  18
2 2 0  52.9  17
2 0 6  60.7  18
2 2 4  64.2  19
4 0 2  64.6  14

For CsSrMg14, a cell relaxed with GGA-PBE gives the theoretical powder diffractogram in this record (Cu Ka).

Structure:
a b c (Å): 11.0177 6.6620 11.7058
angles (deg): 90.00 90.00 90.00
Space group Amm2 (No. 38)
Inequivalent atoms, fractional coordinates:
Cs (0.0000, 0.0000, 0.0000) x2
Sr (0.0000, 0.0000, 0.4957) x2
Mg (0.0000, 0.2482, 0.7496) x4
Mg (0.2557, 0.0000, 0.6713) x4
Mg (0.2646, 0.0000, 0.1757) x4
Mg (0.2756, 0.2449, 0.4117) x8
Mg (0.5000, 0.0000, 0.0026) x2
Mg (0.5000, 0.0000, 0.5034) x2
Mg (0.5000, 0.2502, 0.2487) x4

Peak list (12 most intense, 10° ≤ 2θ ≤ 80°, by angle)
hkl  2θ/deg  intensity
0 0 2  15.1  17
2 0 0  16.1  20
1 0 2  17.2  30
2 0 2  22.2  21
0 2 2  30.9  28
4 0 0  32.5  37
2 0 4  34.7  49
2 2 2  35.0  100
4 2 2  45.5  19
0 2 6  54.5  17
6 2 2  59.6  18
4 2 6  64.9  20